[1]
Calculated powder XRD pattern of EuGa2S4 for a wavelength of 1.5418 Å, from a structure optimized by DFT (PBE).

Peak list (10 most intense, 2θ = 10–90°, sorted by position)
2θ 16.90, rel. 49.8
2θ 24.06, rel. 100.0
2θ 29.63, rel. 21.8
2θ 34.28, rel. 32.3
2θ 34.44, rel. 20.5
2θ 38.38, rel. 89.0
2θ 45.91, rel. 24.7
2θ 49.42, rel. 14.4
2θ 55.52, rel. 15.7
2θ 58.50, rel. 20.6

Structure:
```
EuGa2S4
1.0
3.0377 -5.2081 0.0000
3.0377 5.2081 0.0000
0.0000 0.0000 10.4710
Eu Ga S
2 4 8
Direct
0.0000 0.0000 0.2500 Eu
0.0000 0.0000 0.7500 Eu
0.2633 0.7339 0.0000 Ga
0.2661 0.7367 0.5000 Ga
0.7339 0.2633 0.5000 Ga
0.7367 0.2661 0.0000 Ga
0.0000 0.5000 0.1668 S
0.0000 0.5000 0.8332 S
0.1447 0.3122 0.5000 S
0.3122 0.1447 0.0000 S
0.5000 0.0000 0.3332 S
0.5000 0.0000 0.6668 S
0.6878 0.8553 0.0000 S
0.8553 0.6878 0.5000 S
```



[2]
Calculated powder XRD pattern of EuGa2Te4 for a wavelength of 1.5418 Å, from a structure optimized by DFT (PBE).

Peak list (10 most intense, 2θ = 10–90°, sorted by position)
2θ 15.11, rel. 26.8
2θ 21.45, rel. 13.7
2θ 27.51, rel. 100.0
2θ 30.58, rel. 22.4
2θ 30.73, rel. 17.3
2θ 34.20, rel. 87.9
2θ 47.08, rel. 21.6
2θ 47.30, rel. 17.2
2θ 47.42, rel. 16.3
2θ 61.88, rel. 14.0

Structure:
```
EuGa2Te4
1.0
3.3971 -5.8185 0.0000
3.3971 5.8185 0.0000
0.0000 0.0000 11.6990
Eu Ga Te
2 4 8
Direct
0.0000 0.0000 0.2500 Eu
0.0000 0.0000 0.7500 Eu
0.2590 0.7378 0.0000 Ga
0.2622 0.7410 0.5000 Ga
0.7378 0.2590 0.5000 Ga
0.7410 0.2622 0.0000 Ga
0.0000 0.5000 0.1775 Te
0.0000 0.5000 0.8225 Te
0.1588 0.3049 0.5000 Te
0.3049 0.1588 0.0000 Te
0.5000 0.0000 0.3225 Te
0.5000 0.0000 0.6775 Te
0.6951 0.8412 0.0000 Te
0.8412 0.6951 0.5000 Te
```



[3]
Calculated powder XRD pattern of EuGdTi2O7 for a wavelength of 1.5418 Å, from a structure optimized by DFT (PBE).

Peak list (10 most intense, 2θ = 10–90°, sorted by position)
2θ 14.92, rel. 54.5
2θ 28.78, rel. 31.9
2θ 30.03, rel. 100.0
2θ 30.15, rel. 99.1
2θ 34.89, rel. 58.6
2θ 38.07, rel. 21.3
2θ 38.19, rel. 21.3
2θ 50.16, rel. 62.7
2θ 59.54, rel. 41.4
2θ 59.69, rel. 41.0

Structure:
```
EuGdTi2O7
1.0
-3.6266 3.6468 5.1450
3.6266 -3.6468 5.1450
3.6266 3.6468 -5.1450
Eu Gd Ti O
2 2 4 14
Direct
0.5000 0.0000 0.0000 Eu
0.5000 0.5000 0.5000 Eu
0.0000 0.0000 0.0000 Gd
0.5000 0.0000 0.5000 Gd
0.0000 0.0000 0.5000 Ti
0.0000 0.5000 0.0000 Ti
0.0000 0.5000 0.5000 Ti
0.5000 0.5000 0.0000 Ti
0.0740 0.4214 0.2475 O
0.0740 0.8265 0.6526 O
0.0770 0.8270 0.2500 O
0.3261 0.1735 0.7475 O
0.3260 0.5760 0.7500 O
0.3261 0.5786 0.1526 O
0.3721 0.1221 0.2500 O
0.6279 0.8779 0.7500 O
0.6739 0.4214 0.8474 O
0.6740 0.4240 0.2500 O
0.6739 0.8265 0.2525 O
0.9230 0.1730 0.7500 O
0.9260 0.1735 0.3474 O
0.9260 0.5786 0.7525 O
```



[4]
Calculated powder XRD pattern of EuGd2S4 for a wavelength of 1.5418 Å, from a structure optimized by DFT (PBE).

Peak list (10 most intense, 2θ = 10–90°, sorted by position)
2θ 25.69, rel. 100.0
2θ 33.31, rel. 59.1
2θ 33.47, rel. 29.3
2θ 39.68, rel. 36.0
2θ 39.78, rel. 17.0
2θ 47.84, rel. 25.6
2θ 50.40, rel. 24.7
2θ 55.20, rel. 16.0
2θ 67.96, rel. 23.3
2θ 83.54, rel. 15.2

Structure:
```
EuGd2S4
1.0
-4.2541 4.2541 4.2305
4.2541 -4.2541 4.2305
4.2541 4.2541 -4.2305
Eu Gd S
2 4 8
Direct
0.0000 0.0000 0.0000 Eu
0.7500 0.2500 0.5000 Eu
0.2494 0.6250 0.1244 Gd
0.3750 0.4994 0.6244 Gd
0.5006 0.1250 0.8756 Gd
0.8750 0.7506 0.3756 Gd
0.1324 0.7334 0.7483 S
0.1341 0.2351 0.7517 S
0.2666 0.0149 0.3990 S
0.4834 0.3824 0.2483 S
0.6159 0.8676 0.6010 S
0.6176 0.8659 0.1010 S
0.7649 0.5166 0.8990 S
0.9851 0.3841 0.2517 S
```



[5]
Calculated powder XRD pattern of EuGe2 for a wavelength of 1.5418 Å, from a structure optimized by DFT (PBE).

Peak list (10 most intense, 2θ = 10–90°, sorted by position)
2θ 18.93, rel. 4.9
2θ 31.15, rel. 53.7
2θ 36.70, rel. 100.0
2θ 38.39, rel. 19.9
2θ 55.42, rel. 21.0
2θ 59.10, rel. 32.9
2θ 64.95, rel. 25.3
2θ 73.78, rel. 9.0
2θ 76.99, rel. 11.4
2θ 78.04, rel. 7.2

Structure:
```
EuGe2
1.0
0.0000 4.0610 4.0610
4.0610 0.0000 4.0610
4.0610 4.0610 0.0000
Eu Ge
2 4
Direct
0.1250 0.1250 0.1250 Eu
0.8750 0.8750 0.8750 Eu
0.0000 0.5000 0.5000 Ge
0.5000 0.0000 0.5000 Ge
0.5000 0.5000 0.0000 Ge
0.5000 0.5000 0.5000 Ge
```



[6]
Calculated powder XRD pattern of SmEuHgGe for a wavelength of 1.5418 Å, from a structure optimized by DFT (PBE).

Peak list (10 most intense, 2θ = 10–90°, sorted by position)
2θ 20.47, rel. 10.2
2θ 33.73, rel. 100.0
2θ 39.77, rel. 6.1
2θ 48.44, rel. 18.1
2θ 53.11, rel. 2.7
2θ 60.32, rel. 37.7
2θ 64.41, rel. 2.1
2θ 70.93, rel. 11.7
2θ 74.71, rel. 2.1
2θ 80.88, rel. 16.5

Structure:
```
SmEuHgGe
1.0
7.5166 0.0000 0.0000
0.0000 7.5166 0.0000
0.0000 0.0000 7.5166
Sm Eu Hg Ge
4 4 4 4
Direct
0.0000 0.0000 0.0000 Sm
0.0000 0.5000 0.5000 Sm
0.5000 0.0000 0.5000 Sm
0.5000 0.5000 0.0000 Sm
0.0000 0.0000 0.5000 Eu
0.0000 0.5000 0.0000 Eu
0.5000 0.0000 0.0000 Eu
0.5000 0.5000 0.5000 Eu
0.2500 0.2500 0.7500 Hg
0.2500 0.7500 0.2500 Hg
0.7500 0.2500 0.2500 Hg
0.7500 0.7500 0.7500 Hg
0.2500 0.2500 0.2500 Ge
0.2500 0.7500 0.7500 Ge
0.7500 0.2500 0.7500 Ge
0.7500 0.7500 0.2500 Ge
```



[7]
Calculated powder XRD pattern of EuTlHgGe for a wavelength of 1.5418 Å, from a structure optimized by DFT (PBE).

Peak list (10 most intense, 2θ = 10–90°, sorted by position)
2θ 20.47, rel. 9.9
2θ 33.73, rel. 100.0
2θ 39.78, rel. 5.9
2θ 48.45, rel. 18.2
2θ 53.12, rel. 2.6
2θ 60.34, rel. 38.0
2θ 64.42, rel. 2.0
2θ 70.94, rel. 11.8
2θ 74.73, rel. 2.0
2θ 80.90, rel. 16.8

Structure:
```
EuTlHgGe
1.0
7.5153 0.0000 0.0000
0.0000 7.5153 0.0000
0.0000 0.0000 7.5153
Eu Tl Hg Ge
4 4 4 4
Direct
0.0000 0.0000 0.0000 Eu
0.0000 0.5000 0.5000 Eu
0.5000 0.0000 0.5000 Eu
0.5000 0.5000 0.0000 Eu
0.0000 0.0000 0.5000 Tl
0.0000 0.5000 0.0000 Tl
0.5000 0.0000 0.0000 Tl
0.5000 0.5000 0.5000 Tl
0.2500 0.2500 0.7500 Hg
0.2500 0.7500 0.2500 Hg
0.7500 0.2500 0.2500 Hg
0.7500 0.7500 0.7500 Hg
0.2500 0.2500 0.2500 Ge
0.2500 0.7500 0.7500 Ge
0.7500 0.2500 0.7500 Ge
0.7500 0.7500 0.2500 Ge
```



[8]
Calculated powder XRD pattern of Eu3Ge4Ir4 for a wavelength of 1.5418 Å, from a structure optimized by DFT (PBE).

Peak list (10 most intense, 2θ = 10–90°, sorted by position)
2θ 16.25, rel. 45.9
2θ 28.34, rel. 44.6
2θ 32.84, rel. 59.4
2θ 36.85, rel. 100.0
2θ 40.51, rel. 31.1
2θ 43.92, rel. 47.7
2θ 50.18, rel. 41.7
2θ 53.10, rel. 21.7
2θ 68.86, rel. 26.1
2θ 83.05, rel. 22.5

Structure:
```
Eu3Ge4Ir4
1.0
-3.8567 3.8567 3.8567
3.8567 -3.8567 3.8567
3.8567 3.8567 -3.8567
Eu Ge Ir
3 4 4
Direct
0.0000 0.5000 0.5000 Eu
0.5000 0.0000 0.5000 Eu
0.5000 0.5000 0.0000 Eu
0.0000 0.0000 0.3767 Ge
0.0000 0.3767 0.0000 Ge
0.3767 0.0000 0.0000 Ge
0.6233 0.6233 0.6233 Ge
0.0000 0.0000 0.7351 Ir
0.0000 0.7351 0.0000 Ir
0.2649 0.2649 0.2649 Ir
0.7351 0.0000 0.0000 Ir
```